Theoretical powder XRD pattern
Compound: HWIO2
Radiation: Cu Kα
Structure: the PBE+U geometry in Alexandria

Cell and atoms:
```
HWIO2
1.0
3.847 0.000 0.000
0.000 3.847 0.000
0.000 0.000 5.959
H W I O
1 1 1 2
Cartesian
0.000 0.000 0.000
1.923 1.923 2.979
1.923 1.923 0.000
0.000 1.923 2.979
1.923 0.000 2.979
```

Principal peaks in the range 10° ≤ 2θ ≤ 80°, by angle:
hkl  2theta  I/Imax
0 0 1  14.87  12
1 0 0  23.12  100
0 0 2  29.99  33
1 1 0  32.93  33
1 0 2  38.21  55
1 1 2  45.13  28
2 0 0  47.26  18
2 1 0  53.25  21
2 0 2  56.99  21
0 0 4  62.33  30